[1]
Calculated powder X-ray diffraction pattern of Nd4MoN5 for λ = 1.5418 Å (Cu Kα), from a cell relaxed with PBE.
Lines closer than 0.1° are merged.

Most intense lines, 2θ = 10–80°, most intense first:
d_spacing, I/Imax, hkl
2.896, 100.0, 2 1 1
2.468, 46.0, 1 3 0
1.788, 31.3, 1 3 2
1.495, 27.5, 5 0 1
2.594, 24.9, 0 0 2
1.745, 15.3, 4 2 0

Cell and atoms:
```
data_Nd4MoN5
_space_group_name_H-M_alt 'I 4'
_space_group_IT_number 79
_space_group_name_Hall 'I 4'
_cell_length_a 7.8034
_cell_length_b 7.8034
_cell_length_c 5.1888
_cell_angle_alpha 90.00
_cell_angle_beta 90.00
_cell_angle_gamma 90.00
loop_
_atom_site_label
_atom_site_fract_x
_atom_site_fract_y
_atom_site_fract_z
Nd1 0.1074 0.3059 0.0000
Mo1 0.0000 0.0000 0.4348
N1 0.0000 0.0000 0.0822
N2 0.0911 0.2679 0.4970
```



[2]
Calculated powder X-ray diffraction pattern of PmDyHo2Bi4 for λ = 1.5418 Å (Cu Kα), from a cell relaxed with PBE.
Lines closer than 0.1° are merged.

Most intense lines, 2θ = 10–80°, most intense first:
d_spacing, I/Imax, hkl
3.179, 100.0, 1 1 1
2.248, 78.2, 0 2 0
1.422, 37.3, 1 3 1
1.835, 28.4, 2 2 -2
1.298, 27.7, 3 3 -1
1.589, 13.5, 2 2 2

Cell and atoms:
```
data_PmDyHo2Bi4
_space_group_name_H-M_alt 'P 1 2/m 1'
_space_group_IT_number 10
_space_group_name_Hall '-P 2y'
_cell_length_a 7.7836
_cell_length_b 4.4979
_cell_length_c 7.7855
_cell_angle_alpha 90.00
_cell_angle_beta 109.48
_cell_angle_gamma 90.00
loop_
_atom_site_label
_atom_site_fract_x
_atom_site_fract_y
_atom_site_fract_z
Pm1 0.0000 0.0000 0.0000
Dy1 0.0000 0.5000 0.5000
Ho1 0.5000 0.0000 0.5000
Ho2 0.5000 0.5000 0.0000
Bi1 0.2535 0.0000 0.7481
Bi2 0.2557 0.5000 0.2551
```